(1)
Computed X-ray diffraction stick pattern
Compound: K5IO5
Radiation: Cu Kα (weighted mean of Kα1 and Kα2)
Structure: DFT lattice parameters and positions (GGA-PBE)
Lines closer than 0.1° are merged.

```
11
Lattice="5.8989 -2.7633 0.0000 5.8989 2.7633 0.0000 -2.4227 0.0000 6.8632" Properties=species:S:1:pos:R:3 pbc="T T T"
K 0.0000 0.0000 0.0000
K 3.1928 0.0985 1.3128
K 2.3078 0.0652 4.4773
K 7.0673 0.0652 2.3859
K 6.1823 0.0985 5.5504
I 4.6875 -2.7248 3.4316
O 0.6422 0.0410 2.4892
O -0.2549 0.0621 5.3219
O 4.6875 0.9140 3.4316
O 9.6300 0.0621 1.5414
O 8.7329 0.0410 4.3740
```

Largest 8 diffraction maxima, sorted by position, 2θ from 5° to 70°:
12.90 deg, intensity 97; 17.92 deg, intensity 91; 29.00 deg, intensity 100; 29.39 deg, intensity 94; 32.40 deg, intensity 85; 34.07 deg, intensity 62; 35.00 deg, intensity 84; 48.43 deg, intensity 46

---

(2)
Computed X-ray diffraction stick pattern
Compound: K8I5O
Radiation: Cu Kα (weighted mean of Kα1 and Kα2)
Structure: DFT lattice parameters and positions (GGA-PBE)
Lines closer than 0.1° are merged.

```
14
Lattice="0.0000 7.1426 7.1426 7.1426 0.0000 7.1426 7.1426 7.1426 0.0000" Properties=species:S:1:pos:R:3 pbc="T T T"
K 1.4464 1.4464 1.4464
K 5.6962 5.6962 1.4464
K 5.6962 1.4464 5.6962
K 8.7619 5.5233 5.5233
K 5.5233 8.7619 5.5233
K 5.5233 5.5233 8.7619
K 8.7619 8.7619 8.7619
K 1.4464 5.6962 5.6962
I 5.3023 5.3023 5.3023
I 8.9829 8.9829 5.3023
I 8.9829 5.3023 8.9829
I 10.7139 10.7139 10.7139
I 5.3023 8.9829 8.9829
O 0.0000 0.0000 0.0000
```

Largest 8 diffraction maxima, sorted by position, 2θ from 5° to 70°:
10.73 deg, intensity 22; 20.62 deg, intensity 100; 24.93 deg, intensity 51; 27.21 deg, intensity 16; 32.57 deg, intensity 40; 35.55 deg, intensity 75; 48.98 deg, intensity 29; 63.84 deg, intensity 20

---

(3)
Computed X-ray diffraction stick pattern
Compound: KIO
Radiation: Cu Kα (weighted mean of Kα1 and Kα2)
Structure: DFT lattice parameters and positions (GGA-PBE)
Lines closer than 0.1° are merged.

```
6
Lattice="-2.4869 2.4892 10.8778 2.4869 -2.4892 10.8778 2.4869 2.4892 -10.8778" Properties=species:S:1:pos:R:3 pbc="T T T"
K 0.0000 0.0000 3.7362
K 0.0000 0.0000 18.0194
I 0.0000 0.0000 7.2886
I 0.0000 0.0000 14.4671
O 0.6186 2.4892 0.0000
O 1.8683 0.0000 10.8778
```

Largest 8 diffraction maxima, sorted by position, 2θ from 5° to 70°:
8.13 deg, intensity 100; 21.66 deg, intensity 70; 24.55 deg, intensity 65; 25.31 deg, intensity 85; 26.63 deg, intensity 58; 35.55 deg, intensity 68; 36.10 deg, intensity 42; 44.14 deg, intensity 46

---

(4)
Computed X-ray diffraction stick pattern
Compound: K11IO5
Radiation: Cu Kα (weighted mean of Kα1 and Kα2)
Structure: DFT lattice parameters and positions (GGA-PBE)
Lines closer than 0.1° are merged.

```
17
Lattice="5.2436 -6.3805 0.0000 5.2436 6.3805 0.0000 -2.6607 0.0000 7.0717" Properties=species:S:1:pos:R:3 pbc="T T T"
K 0.0000 0.0000 0.0000
K 3.8968 3.4971 1.1146
K 1.7961 1.7296 3.8735
K 3.9297 3.4971 5.9571
K 2.8878 0.0000 1.2570
K 1.7961 -1.7296 3.8735
K 6.0303 1.7296 3.1983
K 4.9387 0.0000 5.8147
K 3.8968 -3.4971 1.1146
K 6.0303 -1.7296 3.1983
K 3.9297 -3.4971 5.9571
I -1.3303 0.0000 3.5359
O 1.4107 2.3419 1.4050
O 1.4107 -2.3419 1.4050
O 3.9132 0.0000 3.5359
O 6.4157 2.3419 5.6668
O 6.4157 -2.3419 5.6668
```

Largest 8 diffraction maxima, sorted by position, 2θ from 5° to 70°:
11.37 deg, intensity 58; 22.82 deg, intensity 42; 24.58 deg, intensity 52; 27.61 deg, intensity 42; 28.16 deg, intensity 57; 29.00 deg, intensity 52; 33.48 deg, intensity 100; 38.16 deg, intensity 42